This entry pairs a crystal structure of Mn4HgS8 with its theoretical powder diffraction line list. Radiation: Cu Kα X-rays. Structure: a DFT-relaxed cell (PBE, Alexandria).
Neutral-atom scattering factors, no anomalous dispersion.

Main lines, sorted by position (2θ = 10–90°):
d (Å)	Rel. int.
5.503	100
4.456	48
2.893	45
2.443	39
2.418	83
1.670	37

Atomic structure:
```
13
Lattice="5.7862 -3.3401 0.0000 5.7862 3.3401 0.0000 -5.6516 0.0000 8.9114" Properties=species:S:1:pos:R:3 pbc="T T T"
Mn -2.7574 0.0000 8.9106
Mn 5.7862 1.6677 0.0000
Mn 5.7862 -1.6677 0.0000
Mn 8.6782 0.0000 0.0008
Hg -2.8258 0.0000 4.4557
S -1.7944 1.6721 7.5870
S -4.6882 0.0000 7.5909
S 4.8197 0.0000 1.3269
S 7.7152 1.6721 1.3245
S -1.7944 -1.6721 7.5870
S 1.1010 0.0000 7.5846
S 10.6090 0.0000 1.3206
S 7.7152 -1.6721 1.3245
```

---

This entry pairs a crystal structure of La3Ag5 with its theoretical powder diffraction line list. Radiation: Cu Kα X-rays. Structure: a DFT-relaxed cell (PBE, Alexandria).
Neutral-atom scattering factors, no anomalous dispersion.

Main lines, sorted by position (2θ = 10–90°):
d (Å)	Rel. int.
3.256	70
2.877	69
2.809	91
2.579	40
2.436	100
2.180	51

Atomic structure:
```
16
Lattice="0.0000 9.1217 7.3427 3.1274 0.0000 7.3427 3.1274 9.1217 0.0000" Properties=species:S:1:pos:R:3 pbc="T T T"
La 0.0000 0.0000 0.0000
La 1.5637 4.5609 3.6713
La 2.7632 6.0453 7.4572
La 5.0554 10.6062 11.1285
La 3.4917 12.1981 7.4572
La 4.3269 16.7590 11.1285
Ag 1.8525 1.5496 4.9245
Ag 3.4162 3.0113 8.5958
Ag 4.0843 8.0555 9.4842
Ag 3.1274 9.1217 6.5567
Ag 1.2749 7.5721 4.9245
Ag 4.6911 13.6826 10.2280
Ag 5.6481 14.7488 13.1556
Ag 2.1705 10.1879 9.4842
Ag 2.8387 15.2322 8.5958
Ag 3.7342 12.6164 13.1556
```

---

This entry pairs a crystal structure of NpSbRh2 with its theoretical powder diffraction line list. Radiation: Cu Kα X-rays. Structure: a DFT-relaxed cell (PBE, Alexandria).
Neutral-atom scattering factors, no anomalous dispersion.

Main lines, sorted by position (2θ = 10–90°):
d (Å)	Rel. int.
2.624	100
2.511	63
2.498	29
2.341	21
2.325	52
2.107	39

Atomic structure:
```
16
Lattice="6.7048 0.0000 0.0000 0.0000 4.6506 0.0000 0.0000 0.0000 9.9922" Properties=species:S:1:pos:R:3 pbc="T T T"
Np 1.3875 1.1626 1.5248
Np 1.9649 3.4879 6.5208
Np 4.7399 1.1626 3.4713
Np 5.3173 3.4879 8.4674
Sb 0.3037 3.4879 3.5967
Sb 3.0487 1.1626 8.5928
Sb 3.6560 3.4879 1.3994
Sb 6.4011 1.1626 6.3955
Rh 0.3042 1.1626 9.0638
Rh 1.4612 1.1626 4.3098
Rh 1.8912 3.4879 9.3059
Rh 3.0482 3.4879 4.0677
Rh 3.6566 1.1626 5.9244
Rh 4.8136 1.1626 0.6863
Rh 5.2435 3.4879 5.6824
Rh 6.4006 3.4879 0.9283
```

---

This entry pairs a crystal structure of Pm2Y6Ho2Th with its theoretical powder diffraction line list. Radiation: Cu Kα X-rays. Structure: a DFT-relaxed cell (PBE, Alexandria).
Neutral-atom scattering factors, no anomalous dispersion.

Main lines, sorted by position (2θ = 10–90°):
d (Å)	Rel. int.
2.927	26
2.893	20
2.851	35
2.793	100
2.668	21
1.635	20

Atomic structure:
```
11
Lattice="2.8506 -6.0112 0.0000 2.8506 6.0112 0.0000 0.0000 0.0000 10.6724" Properties=species:S:1:pos:R:3 pbc="T T T"
Pm 2.8506 4.3759 0.0000
Pm 2.8506 -4.3759 0.0000
Y 0.0000 0.0000 3.0979
Y 0.0000 0.0000 7.5746
Y 2.8506 1.8290 2.2779
Y 2.8506 1.8290 8.3945
Y 2.8506 -1.8290 2.2779
Y 2.8506 -1.8290 8.3945
Ho 2.8506 3.5922 5.3362
Ho 2.8506 -3.5922 5.3362
Th 2.8506 0.0000 5.3362
```

---

This entry pairs a crystal structure of Ti6Sn5 with its theoretical powder diffraction line list. Radiation: Cu Kα X-rays. Structure: a DFT-relaxed cell (PBE, Alexandria).
Neutral-atom scattering factors, no anomalous dispersion.

Main lines, sorted by position (2θ = 10–90°):
d (Å)	Rel. int.
3.290	24
3.043	19
2.686	21
2.429	22
2.326	100
1.342	16

Atomic structure:
```
22
Lattice="9.2951 0.0000 0.0000 -4.6475 8.0498 0.0000 0.0000 0.0000 5.7091" Properties=species:S:1:pos:R:3 pbc="T T T"
Ti -2.3238 4.0249 0.0000
Ti -2.3238 4.0249 2.8545
Ti 0.0000 2.5238 1.4273
Ti -2.4619 6.7879 1.4273
Ti 2.1857 1.2619 4.2818
Ti 4.6475 0.0000 0.0000
Ti 4.6475 0.0000 2.8545
Ti 2.3238 4.0249 0.0000
Ti 2.3238 4.0249 2.8545
Ti 2.4619 6.7879 1.4273
Ti 7.1094 1.2619 4.2818
Ti 4.6475 5.5260 4.2818
Sn 0.0000 0.0000 0.0000
Sn 0.0000 0.0000 2.8545
Sn 0.0000 3.2913 4.2818
Sn -1.7972 6.4041 4.2818
Sn 0.0000 5.3665 1.4273
Sn 2.8504 1.6457 1.4273
Sn 1.7972 6.4041 4.2818
Sn 4.6475 2.6833 4.2818
Sn 6.4447 1.6457 1.4273
Sn 4.6475 4.7584 1.4273
```

---

This entry pairs a crystal structure of K2ZnF6 with its theoretical powder diffraction line list. Radiation: Cu Kα X-rays. Structure: a DFT-relaxed cell (PBE, Alexandria).
Neutral-atom scattering factors, no anomalous dispersion.

Main lines, sorted by position (2θ = 10–90°):
d (Å)	Rel. int.
4.466	90
3.444	52
2.932	63
2.661	36
2.233	100
1.971	45

Atomic structure:
```
18
Lattice="5.8647 0.0000 0.0000 -2.9323 5.0790 0.0000 0.0000 0.0000 9.3739" Properties=species:S:1:pos:R:3 pbc="T T T"
K 0.0000 0.0000 0.0000
K 0.0000 0.0000 4.6870
K 0.0000 3.3860 2.4607
K 2.9323 1.6930 7.1476
Zn 0.0000 3.3860 6.0872
Zn 2.9323 1.6930 1.4002
F -1.3438 2.6101 4.9391
F 0.0000 1.7557 7.1006
F -1.4118 4.2011 7.1006
F 1.5205 0.8779 2.4136
F 1.3438 2.6101 4.9391
F 0.0000 4.9377 4.9391
F 2.9323 0.1413 0.2521
F 1.5885 2.4688 0.2521
F 1.4118 4.2011 7.1006
F 4.3442 0.8779 2.4136
F 2.9323 3.3232 2.4136
F 4.2762 2.4688 0.2521
```